Entry 1:
Structure and computed XRD peak list of CrBr2 (a cell relaxed with GGA-PBE; Cu Kα).

The 12 most intense peaks (10 to 90 degrees two-theta), by intensity:
2θ (°)  Rel. int.  index
26.3  100  2 0 -1
31.1  89  1 1 1
13.7  57  0 0 1
40.1  46  1 1 2
44.1  46  3 1 0
49.4  34  1 1 -3
38.1  26  1 1 -2
29.9  24  1 1 -1
27.6  23  0 0 2
57.2  21  2 2 -1
29.0  21  2 0 1
34.7  18  2 0 -2

Structure:
```
data_CrBr2
_cell_length_a 7.4893
_cell_length_b 3.6621
_cell_length_c 6.5067
_cell_angle_alpha 90.00
_cell_angle_beta 96.41
_cell_angle_gamma 90.00
_space_group_name_H-M_alt 'C 1 2/m 1'
_space_group_IT_number 12
loop_
_space_group_symop_operation_xyz
'x,y,z'
'-x,-y,-z'
'-x,y,-z'
'x,-y,z'
'x+1/2,y+1/2,z'
'-x+1/2,-y+1/2,-z'
'-x+1/2,y+1/2,-z'
'x+1/2,-y+1/2,z'
loop_
_atom_site_label
_atom_site_fract_x
_atom_site_fract_y
_atom_site_fract_z
Cr1 0.0000 0.0000 0.0000
Br1 0.1458 0.5000 0.2332
```



Entry 2:
Structure and computed XRD peak list of CrBr2 (a cell relaxed with GGA-PBE; Cu Kα).

The 12 most intense peaks (10 to 90 degrees two-theta), by intensity:
2θ (°)  Rel. int.  index
30.3  100  1 1 1
29.6  73  2 1 0
47.2  68  3 0 1
18.6  64  1 1 0
38.3  55  2 1 1
37.7  23  2 2 0
57.9  21  2 1 2
56.3  20  4 1 0
58.0  17  3 3 0
48.6  16  0 0 2
66.9  16  4 2 1
77.5  15  4 1 2

Structure:
```
data_CrBr2
_cell_length_a 6.7420
_cell_length_b 6.7420
_cell_length_c 3.7481
_cell_angle_alpha 90.00
_cell_angle_beta 90.00
_cell_angle_gamma 90.00
_space_group_name_H-M_alt 'P 42/m n m'
_space_group_IT_number 136
_space_group_name_Hall '-P 4n 2n'
loop_
_atom_site_label
_atom_site_fract_x
_atom_site_fract_y
_atom_site_fract_z
Cr1 0.0000 0.0000 0.0000
Br1 0.1820 0.1820 0.5000
```



Entry 3:
Structure and computed XRD peak list of Cr2CuSe3Br (a cell relaxed with GGA-PBE; Cu Kα).

The 12 most intense peaks (10 to 90 degrees two-theta), by intensity:
2θ (°)  Rel. int.  index
48.9  100  2 2 0
34.0  81  0 2 4
29.4  55  0 0 6
28.1  37  0 2 1
44.7  30  1 2 5
81.7  22  2 2 12
58.1  22  2 2 6
60.9  18  0 0 12
23.9  16  1 1 0
71.6  14  0 4 8
14.6  8  0 0 3
79.2  8  2 0 14

Structure:
```
data_Cr2CuSe3Br
_cell_length_a 7.4504
_cell_length_b 7.4504
_cell_length_c 18.2642
_cell_angle_alpha 90.00
_cell_angle_beta 90.00
_cell_angle_gamma 120.00
_space_group_name_H-M_alt 'R -3 m'
_space_group_IT_number 166
_space_group_name_Hall '-R 3 2"'
loop_
_atom_site_label
_atom_site_fract_x
_atom_site_fract_y
_atom_site_fract_z
Cr1 0.0000 0.0000 0.0000
Cr2 0.0000 0.5000 0.5000
Cu1 0.0000 0.0000 0.3884
Se1 0.0258 0.5129 0.7533
Br1 0.0000 0.0000 0.2447
```



Entry 4:
Structure and computed XRD peak list of Cs2CuBr3 (a cell relaxed with GGA-PBE; Cu Kα).

The 12 most intense peaks (10 to 90 degrees two-theta), by intensity:
2θ (°)  Rel. int.  index
26.1  100  0 3 1
23.4  81  2 0 0
35.3  65  2 2 3
26.5  50  0 0 4
32.3  39  0 3 3
32.0  35  2 1 3
28.2  34  2 1 2
29.7  30  2 2 1
49.7  27  2 5 1
14.3  26  1 1 0
21.5  25  0 1 3
23.0  24  1 0 3

Structure:
```
data_Cs2CuBr3
_cell_length_a 7.6092
_cell_length_b 10.5889
_cell_length_c 13.4724
_cell_angle_alpha 90.00
_cell_angle_beta 90.00
_cell_angle_gamma 90.00
_space_group_name_H-M_alt 'P 21 21 21'
_space_group_IT_number 19
loop_
_space_group_symop_operation_xyz
'x,y,z'
'-x+1/2,-y,z+1/2'
'x+1/2,-y+1/2,-z'
'-x,y+1/2,-z+1/2'
loop_
_atom_site_label
_atom_site_fract_x
_atom_site_fract_y
_atom_site_fract_z
Cs1 0.0055 0.2487 0.3404
Cs2 0.0175 0.6245 0.6038
Cu1 0.0516 0.5398 0.9375
Br1 0.0234 0.2447 0.6187
Br2 0.0419 0.9124 0.4273
Br3 0.2117 0.5576 0.3446
```



Entry 5:
Structure and computed XRD peak list of Cs3Cu2Br5 (a cell relaxed with GGA-PBE; Cu Kα).

The 12 most intense peaks (10 to 90 degrees two-theta), by intensity:
2θ (°)  Rel. int.  index
27.4  100  2 2 2
32.3  91  0 4 0
26.7  90  1 2 3
29.1  63  3 1 1
27.3  48  1 0 4
25.0  48  2 2 1
26.5  37  2 0 3
50.0  37  3 5 1
51.1  36  3 2 6
27.9  34  3 0 1
24.2  32  2 2 0
30.2  31  2 3 0

Structure:
```
data_Cs3Cu2Br5
_cell_length_a 9.8489
_cell_length_b 11.1056
_cell_length_c 13.8514
_cell_angle_alpha 90.00
_cell_angle_beta 90.00
_cell_angle_gamma 90.00
_space_group_name_H-M_alt 'P n m a'
_space_group_IT_number 62
loop_
_space_group_symop_operation_xyz
'x,y,z'
'-x,-y,-z'
'-x+1/2,-y,z+1/2'
'x+1/2,y,-z+1/2'
'x+1/2,-y+1/2,-z+1/2'
'-x+1/2,y+1/2,z+1/2'
'-x,y+1/2,-z'
'x,-y+1/2,z'
loop_
_atom_site_label
_atom_site_fract_x
_atom_site_fract_y
_atom_site_fract_z
Cs1 0.0466 0.0147 0.1775
Cs2 0.0981 0.7500 0.4544
Cu1 0.2076 0.7500 0.0478
Cu2 0.2475 0.2500 0.3692
Br1 0.0316 0.2500 0.9880
Br2 0.1682 0.7500 0.7094
Br3 0.1916 0.0633 0.4473
Br4 0.2016 0.2500 0.7078
```



Entry 6:
Structure and computed XRD peak list of Cs2InCuBr6 (a cell relaxed with GGA-PBE; Cu Kα).

The 12 most intense peaks (10 to 90 degrees two-theta), by intensity:
2θ (°)  Rel. int.  index
32.8  100  4 0 0
28.3  72  2 2 2
47.0  71  4 4 0
23.0  44  2 2 0
78.2  31  8 4 0
55.8  31  6 2 2
58.5  24  4 4 4
87.4  24  8 4 4
40.4  20  4 2 2
75.8  13  6 6 2
68.7  11  8 0 0
63.7  10  6 4 2

Structure:
```
data_Cs2InCuBr6
_cell_length_a 10.9354
_cell_length_b 10.9354
_cell_length_c 10.9354
_cell_angle_alpha 90.00
_cell_angle_beta 90.00
_cell_angle_gamma 90.00
_space_group_name_H-M_alt 'F m -3 m'
_space_group_IT_number 225
_space_group_name_Hall '-F 4 2 3'
loop_
_atom_site_label
_atom_site_fract_x
_atom_site_fract_y
_atom_site_fract_z
Cs1 0.2500 0.2500 0.2500
In1 0.0000 0.0000 0.0000
Cu1 0.0000 0.0000 0.5000
Br1 0.0000 0.0000 0.2541
```